No. 1
Structure and computed X-ray diffraction stick pattern of Tl5PSe4Br2 (a GGA-PBE-relaxed structure; Cu Kα (λ = 1.5418 Å)).

Cell and atoms:
```
Tl5PSe4Br2
1.0
9.970 0.000 0.000
0.000 4.990 4.221
0.000 -4.990 4.221
Tl P Se Br
5 1 4 2
direct
0.000 0.000 0.000 Tl
0.263 0.323 0.703 Tl
0.263 0.703 0.323 Tl
0.737 0.323 0.703 Tl
0.737 0.703 0.323 Tl
0.500 0.947 0.947 P
0.318 0.103 0.103 Se
0.500 0.614 0.984 Se
0.500 0.984 0.614 Se
0.682 0.103 0.103 Se
0.000 0.013 0.510 Br
0.000 0.510 0.013 Br
```

Most intense lines, 10° ≤ 2θ ≤ 80°, low angle first:
- 4.221 Å, 2θ 21.0, rel. 43
- 3.943 Å, 2θ 22.5, rel. 54
- 3.222 Å, 2θ 27.7, rel. 70
- 3.095 Å, 2θ 28.8, rel. 78
- 2.707 Å, 2θ 33.1, rel. 100
- 2.493 Å, 2θ 36.0, rel. 38
- 1.942 Å, 2θ 46.8, rel. 41
- 1.810 Å, 2θ 50.4, rel. 39



No. 2
Structure and computed X-ray diffraction stick pattern of AgPd6Au (a GGA-PBE-relaxed structure; Cu Kα (λ = 1.5418 Å)).

Cell and atoms:
```
AgPd6Au
1.0
3.996 0.000 0.000
0.000 3.996 0.000
0.000 0.000 8.004
Ag Pd Au
1 6 1
direct
0.000 0.000 0.000 Ag
0.000 0.500 0.249 Pd
0.000 0.500 0.751 Pd
0.500 0.000 0.249 Pd
0.500 0.000 0.751 Pd
0.500 0.500 0.000 Pd
0.500 0.500 0.500 Pd
0.000 0.000 0.500 Au
```

Most intense lines, 10° ≤ 2θ ≤ 80°, low angle first:
- 8.004 Å, 2θ 11.1, rel. 3
- 3.998 Å, 2θ 22.2, rel. 3
- 2.827 Å, 2θ 31.7, rel. 3
- 2.308 Å, 2θ 39.0, rel. 100
- 1.999 Å, 2θ 45.4, rel. 49
- 1.413 Å, 2θ 66.1, rel. 31
- 1.206 Å, 2θ 79.4, rel. 12
- 1.205 Å, 2θ 79.6, rel. 24



No. 3
Structure and computed X-ray diffraction stick pattern of Ag2BiIO6 (a GGA-PBE-relaxed structure; Cu Kα (λ = 1.5418 Å)).

Cell and atoms:
```
Ag2BiIO6
1.0
2.914 1.683 4.790
-2.914 1.683 4.790
0.000 -3.365 4.790
Ag Bi I O
2 1 1 6
direct
0.248 0.248 0.248 Ag
0.752 0.752 0.752 Ag
0.500 0.500 0.500 Bi
0.000 0.000 0.000 I
0.118 0.326 0.788 O
0.212 0.882 0.674 O
0.326 0.788 0.118 O
0.674 0.212 0.882 O
0.788 0.118 0.326 O
0.882 0.674 0.212 O
```

Most intense lines, 10° ≤ 2θ ≤ 80°, low angle first:
- 2.927 Å, 2θ 30.5, rel. 100
- 2.914 Å, 2θ 30.7, rel. 91
- 2.065 Å, 2θ 43.8, rel. 45
- 1.692 Å, 2θ 54.2, rel. 19
- 1.684 Å, 2θ 54.5, rel. 64
- 1.463 Å, 2θ 63.6, rel. 15
- 1.308 Å, 2θ 72.2, rel. 18
- 1.304 Å, 2θ 72.5, rel. 16



No. 4
Structure and computed X-ray diffraction stick pattern of CrGePdPt (a GGA-PBE-relaxed structure; Cu Kα (λ = 1.5418 Å)).

Cell and atoms:
```
CrGePdPt
1.0
-1.772 2.093 4.128
1.772 -2.093 4.128
1.772 2.093 -4.128
Cr Ge Pd Pt
1 1 1 1
direct
0.000 0.000 0.000 Cr
0.756 0.256 0.500 Ge
0.267 0.767 0.500 Pd
0.531 0.531 0.000 Pt
```

Most intense lines, 10° ≤ 2θ ≤ 80°, low angle first:
- 3.734 Å, 2θ 23.8, rel. 21
- 3.256 Å, 2θ 27.4, rel. 15
- 2.262 Å, 2θ 39.8, rel. 100
- 2.093 Å, 2θ 43.2, rel. 20
- 2.064 Å, 2θ 43.9, rel. 18
- 1.772 Å, 2θ 51.6, rel. 12
- 1.470 Å, 2θ 63.3, rel. 12
- 1.239 Å, 2θ 77.0, rel. 14



No. 5
Structure and computed X-ray diffraction stick pattern of Ce6Sb2TeAs3 (a GGA-PBE-relaxed structure; Cu Kα (λ = 1.5418 Å)).

Cell and atoms:
```
Ce6Sb2TeAs3
1.0
9.534 -2.167 0.000
9.534 2.167 0.000
-2.143 0.000 8.499
Ce Sb Te As
6 2 1 3
direct
0.004 0.004 0.236 Ce
0.328 0.328 0.427 Ce
0.337 0.337 0.906 Ce
0.663 0.663 0.094 Ce
0.672 0.672 0.573 Ce
0.996 0.996 0.764 Ce
0.167 0.167 0.833 Sb
0.833 0.833 0.167 Sb
0.500 0.500 0.500 Te
0.166 0.166 0.333 As
0.500 0.500 0.000 As
0.834 0.834 0.667 As
```

Most intense lines, 10° ≤ 2θ ≤ 80°, low angle first:
- 3.081 Å, 2θ 29.0, rel. 100
- 2.191 Å, 2θ 41.2, rel. 36
- 2.167 Å, 2θ 41.7, rel. 38
- 1.773 Å, 2θ 51.6, rel. 20
- 1.541 Å, 2θ 60.0, rel. 12
- 1.384 Å, 2θ 67.7, rel. 15
- 1.372 Å, 2θ 68.4, rel. 17
- 1.256 Å, 2θ 75.7, rel. 12



No. 6
Structure and computed X-ray diffraction stick pattern of Sr2Bi2Se3O2 (a GGA-PBE-relaxed structure; Cu Kα (λ = 1.5418 Å)).

Cell and atoms:
```
Sr2Bi2Se3O2
1.0
6.874 -2.067 0.000
6.874 2.067 0.000
-5.375 0.000 8.053
Sr Bi Se O
2 2 3 2
direct
0.108 0.108 0.397 Sr
0.892 0.892 0.603 Sr
0.310 0.310 0.865 Bi
0.690 0.690 0.135 Bi
0.000 0.000 0.000 Se
0.371 0.371 0.280 Se
0.629 0.629 0.720 Se
0.312 0.312 0.647 O
0.688 0.688 0.353 O
```

Most intense lines, 10° ≤ 2θ ≤ 80°, low angle first:
- 4.765 Å, 2θ 18.6, rel. 26
- 3.210 Å, 2θ 27.8, rel. 72
- 3.063 Å, 2θ 29.2, rel. 100
- 2.802 Å, 2θ 31.9, rel. 46
- 2.565 Å, 2θ 35.0, rel. 72
- 2.067 Å, 2θ 43.8, rel. 26
- 1.979 Å, 2θ 45.8, rel. 23
- 1.737 Å, 2θ 52.7, rel. 31